The following is a simulated X-ray powder pattern of Tb2TiPbO6. It was derived from the PBE geometry in Alexandria, using CuKα.
No peak broadening, texture or thermal motion is included.

Most intense lines, 2θ = 15–90°, in order of rising 2θ:
2θ/deg, I (rel.)
15.8, 12.5
16.4, 12.6
22.9, 12.3
28.3, 100.0
33.2, 32.6
46.7, 25.8
47.7, 17.8
56.3, 29.6

Structural model:
a = 5.397 Å, b = 5.397 Å, c = 5.605 Å
α = 90.00°, β = 90.00°, γ = 90.00°
Atoms (fractional coordinates):
Tb: 0.000 0.500 0.000
Tb: 0.500 0.000 0.000
Ti: 0.000 0.000 0.648
Pb: 0.500 0.500 0.555
O: 0.000 0.000 0.323
O: 0.231 0.231 0.789
O: 0.231 0.769 0.789
O: 0.500 0.500 0.143
O: 0.769 0.231 0.789
O: 0.769 0.769 0.789

---

The following is a simulated X-ray powder pattern of LaAg3F12. It was derived from the PBE geometry in Alexandria, using CuKα.
No peak broadening, texture or thermal motion is included.

Most intense lines, 2θ = 15–90°, in order of rising 2θ:
2θ/deg, I (rel.)
23.7, 100.0
29.5, 50.5
33.2, 29.0
37.5, 23.0
38.2, 20.6
45.0, 31.3
49.0, 25.3
52.4, 18.1

Structural model:
a = 8.105 Å, b = 8.105 Å, c = 8.105 Å
α = 80.51°, β = 80.51°, γ = 80.51°
Atoms (fractional coordinates):
La: 0.000 0.000 0.000
La: 0.500 0.500 0.500
Ag: 0.040 0.381 0.685
Ag: 0.185 0.881 0.540
Ag: 0.381 0.685 0.040
Ag: 0.540 0.185 0.881
Ag: 0.685 0.040 0.381
Ag: 0.881 0.540 0.185
F: 0.081 0.391 0.114
F: 0.114 0.081 0.391
F: 0.169 0.769 0.180
F: 0.180 0.169 0.769
F: 0.212 0.444 0.491
F: 0.269 0.669 0.680
F: 0.303 0.884 0.883
F: 0.383 0.384 0.803
F: 0.384 0.803 0.383
F: 0.391 0.114 0.081
F: 0.444 0.491 0.212
F: 0.491 0.212 0.444
F: 0.581 0.614 0.891
F: 0.614 0.891 0.581
F: 0.669 0.680 0.269
F: 0.680 0.269 0.669
F: 0.712 0.991 0.944
F: 0.769 0.180 0.169
F: 0.803 0.383 0.384
F: 0.883 0.303 0.884
F: 0.884 0.883 0.303
F: 0.891 0.581 0.614
F: 0.944 0.712 0.991
F: 0.991 0.944 0.712

---

The following is a simulated X-ray powder pattern of PrDyTm3Th. It was derived from the PBE geometry in Alexandria, using CuKα.
No peak broadening, texture or thermal motion is included.

Most intense lines, 2θ = 15–90°, in order of rising 2θ:
2θ/deg, I (rel.)
30.8, 100.0
31.0, 32.5
35.7, 22.6
35.8, 44.8
51.3, 24.2
51.6, 15.7
61.1, 14.2
61.3, 19.1

Structural model:
a = 10.604 Å, b = 3.558 Å, c = 10.644 Å
α = 90.00°, β = 109.04°, γ = 90.00°
Atoms (fractional coordinates):
Pr: 0.209 0.250 0.373
Pr: 0.791 0.750 0.627
Dy: 0.127 0.750 0.631
Dy: 0.873 0.250 0.369
Tm: 0.044 0.250 0.877
Tm: 0.294 0.750 0.119
Tm: 0.460 0.750 0.630
Tm: 0.540 0.250 0.370
Tm: 0.706 0.250 0.881
Tm: 0.956 0.750 0.123
Th: 0.377 0.250 0.875
Th: 0.623 0.750 0.125

---

The following is a simulated X-ray powder pattern of Cs2HgPdF6. It was derived from the PBE geometry in Alexandria, using CuKα.
No peak broadening, texture or thermal motion is included.

Most intense lines, 2θ = 15–90°, in order of rising 2θ:
2θ/deg, I (rel.)
16.6, 28.8
24.4, 30.2
26.6, 25.9
27.5, 100.0
31.1, 38.9
42.0, 27.7
48.5, 21.1
50.9, 21.7

Structural model:
a = 11.767 Å, b = 11.767 Å, c = 11.767 Å
α = 32.06°, β = 32.06°, γ = 32.06°
Atoms (fractional coordinates):
Cs: 0.121 0.121 0.121
Cs: 0.288 0.288 0.288
Cs: 0.712 0.712 0.712
Cs: 0.879 0.879 0.879
Hg: 0.000 0.000 0.000
Hg: 0.500 0.500 0.500
Pd: 0.409 0.409 0.409
Pd: 0.591 0.591 0.591
F: 0.147 0.604 0.604
F: 0.209 0.209 0.702
F: 0.209 0.702 0.209
F: 0.298 0.791 0.791
F: 0.396 0.396 0.853
F: 0.396 0.853 0.396
F: 0.604 0.147 0.604
F: 0.604 0.604 0.147
F: 0.702 0.209 0.209
F: 0.791 0.298 0.791
F: 0.791 0.791 0.298
F: 0.853 0.396 0.396

---

The following is a simulated X-ray powder pattern of Sm5ThS7. It was derived from the PBE geometry in Alexandria, using CuKα.
No peak broadening, texture or thermal motion is included.

Most intense lines, 2θ = 15–90°, in order of rising 2θ:
2θ/deg, I (rel.)
26.1, 100.0
26.9, 80.3
28.2, 35.4
31.2, 42.0
31.5, 54.2
32.3, 64.7
32.7, 43.2
46.0, 74.1

Structural model:
a = 6.928 Å, b = 6.928 Å, c = 23.419 Å
α = 91.70°, β = 91.70°, γ = 33.10°
Atoms (fractional coordinates):
Sm: 0.000 0.000 0.000
Sm: 0.001 0.001 0.500
Sm: 0.272 0.272 0.930
Sm: 0.282 0.282 0.571
Sm: 0.449 0.449 0.354
Sm: 0.457 0.457 0.145
Sm: 0.543 0.543 0.855
Sm: 0.553 0.553 0.647
Sm: 0.720 0.720 0.429
Sm: 0.728 0.728 0.070
Th: 0.210 0.210 0.239
Th: 0.791 0.791 0.761
S: 0.087 0.087 0.388
S: 0.101 0.101 0.117
S: 0.178 0.178 0.820
S: 0.197 0.197 0.683
S: 0.364 0.364 0.461
S: 0.366 0.366 0.038
S: 0.441 0.441 0.749
S: 0.560 0.560 0.251
S: 0.634 0.634 0.963
S: 0.638 0.638 0.539
S: 0.805 0.805 0.318
S: 0.822 0.822 0.180
S: 0.899 0.899 0.883
S: 0.915 0.915 0.612

---

The following is a simulated X-ray powder pattern of Ho2TeH. It was derived from the PBE geometry in Alexandria, using CuKα.
No peak broadening, texture or thermal motion is included.

Most intense lines, 2θ = 15–90°, in order of rising 2θ:
2θ/deg, I (rel.)
29.7, 17.1
30.4, 51.3
31.6, 25.5
32.3, 100.0
33.0, 51.1
34.4, 29.6
40.4, 24.7
40.8, 19.7

Structural model:
a = 7.995 Å, b = 6.287 Å, c = 7.243 Å
α = 90.00°, β = 101.71°, γ = 90.00°
Atoms (fractional coordinates):
Ho: 0.057 0.143 0.312
Ho: 0.057 0.357 0.812
Ho: 0.309 0.661 0.529
Ho: 0.309 0.839 0.029
Ho: 0.691 0.161 0.971
Ho: 0.691 0.339 0.471
Ho: 0.943 0.643 0.188
Ho: 0.943 0.857 0.688
Te: 0.348 0.129 0.675
Te: 0.348 0.371 0.175
Te: 0.652 0.629 0.825
Te: 0.652 0.871 0.325
H: 0.062 0.673 0.940
H: 0.062 0.827 0.440
H: 0.938 0.173 0.560
H: 0.938 0.327 0.060

---

The following is a simulated X-ray powder pattern of BeHI2. It was derived from the PBE geometry in Alexandria, using CuKα.
No peak broadening, texture or thermal motion is included.

Most intense lines, 2θ = 15–90°, in order of rising 2θ:
2θ/deg, I (rel.)
24.9, 100.0
28.9, 32.1
36.1, 20.7
36.7, 14.2
41.3, 15.9
47.4, 16.2
48.8, 16.2
52.4, 17.9

Structural model:
a = 9.796 Å, b = 9.796 Å, c = 6.182 Å
α = 90.00°, β = 90.00°, γ = 90.00°
Atoms (fractional coordinates):
Be: 0.000 0.500 0.000
Be: 0.000 0.500 0.500
Be: 0.500 0.000 0.000
Be: 0.500 0.000 0.500
H: 0.000 0.000 0.251
H: 0.000 0.000 0.751
H: 0.500 0.500 0.251
H: 0.500 0.500 0.751
I: 0.135 0.365 0.250
I: 0.135 0.635 0.750
I: 0.365 0.135 0.750
I: 0.365 0.865 0.250
I: 0.635 0.135 0.250
I: 0.635 0.865 0.750
I: 0.865 0.365 0.750
I: 0.865 0.635 0.250

---

The following is a simulated X-ray powder pattern of Cs2Zn2Bi2H. It was derived from the PBE geometry in Alexandria, using CuKα.
No peak broadening, texture or thermal motion is included.

Most intense lines, 2θ = 15–90°, in order of rising 2θ:
2θ/deg, I (rel.)
24.3, 27.8
26.0, 100.0
27.9, 26.2
29.1, 68.0
30.1, 41.2
31.1, 52.3
37.3, 34.7
46.6, 27.1

Structural model:
a = 13.227 Å, b = 4.823 Å, c = 9.024 Å
α = 90.00°, β = 125.66°, γ = 90.00°
Atoms (fractional coordinates):
Cs: 0.056 0.000 0.320
Cs: 0.444 0.500 0.680
Cs: 0.556 0.500 0.320
Cs: 0.944 0.000 0.680
Zn: 0.161 0.500 0.073
Zn: 0.339 0.000 0.927
Zn: 0.661 0.000 0.073
Zn: 0.839 0.500 0.927
Bi: 0.209 0.500 0.796
Bi: 0.291 0.000 0.204
Bi: 0.709 0.000 0.796
Bi: 0.791 0.500 0.204
H: 0.000 0.500 0.000
H: 0.500 0.000 0.000

---

The following is a simulated X-ray powder pattern of In5S5Cl. It was derived from the PBE geometry in Alexandria, using CuKα.
No peak broadening, texture or thermal motion is included.

Most intense lines, 2θ = 15–90°, in order of rising 2θ:
2θ/deg, I (rel.)
20.6, 100.0
23.1, 54.5
25.0, 62.0
27.4, 62.9
32.7, 86.6
34.1, 64.8
37.1, 73.5
45.7, 95.3

Structural model:
a = 9.054 Å, b = 3.974 Å, c = 15.345 Å
α = 90.00°, β = 94.03°, γ = 90.00°
Atoms (fractional coordinates):
In: 0.046 0.250 0.146
In: 0.134 0.250 0.564
In: 0.237 0.750 0.792
In: 0.342 0.750 0.054
In: 0.371 0.250 0.346
In: 0.629 0.750 0.654
In: 0.658 0.250 0.946
In: 0.763 0.250 0.208
In: 0.866 0.750 0.436
In: 0.954 0.750 0.854
S: 0.035 0.250 0.401
S: 0.166 0.250 0.001
S: 0.211 0.750 0.203
S: 0.318 0.250 0.700
S: 0.465 0.750 0.901
S: 0.535 0.250 0.099
S: 0.682 0.750 0.300
S: 0.789 0.250 0.797
S: 0.834 0.750 0.999
S: 0.965 0.750 0.599
Cl: 0.327 0.750 0.507
Cl: 0.673 0.250 0.493

---

The following is a simulated X-ray powder pattern of AgSb2S4. It was derived from the PBE geometry in Alexandria, using CuKα.
No peak broadening, texture or thermal motion is included.

Most intense lines, 2θ = 15–90°, in order of rising 2θ:
2θ/deg, I (rel.)
22.5, 24.3
26.4, 100.0
26.6, 50.5
32.0, 26.2
42.0, 36.9
45.9, 31.4
46.0, 31.3
46.1, 31.5

Structural model:
a = 7.875 Å, b = 7.875 Å, c = 13.661 Å
α = 106.42°, β = 106.42°, γ = 60.26°
Atoms (fractional coordinates):
Ag: 0.057 0.569 0.688
Ag: 0.431 0.943 0.812
Ag: 0.569 0.057 0.188
Ag: 0.943 0.431 0.312
Sb: 0.000 0.000 0.000
Sb: 0.000 0.000 0.500
Sb: 0.000 0.500 0.000
Sb: 0.259 0.741 0.250
Sb: 0.500 0.000 0.500
Sb: 0.500 0.500 0.000
Sb: 0.500 0.500 0.500
Sb: 0.741 0.259 0.750
S: 0.095 0.141 0.870
S: 0.140 0.622 0.883
S: 0.141 0.095 0.370
S: 0.143 0.623 0.381
S: 0.371 0.377 0.612
S: 0.377 0.371 0.112
S: 0.377 0.857 0.119
S: 0.378 0.860 0.617
S: 0.622 0.140 0.383
S: 0.623 0.143 0.881
S: 0.623 0.629 0.888
S: 0.629 0.623 0.388
S: 0.857 0.377 0.619
S: 0.859 0.905 0.630
S: 0.860 0.378 0.117
S: 0.905 0.859 0.130

---

The following is a simulated X-ray powder pattern of Tb2Cd2Ag. It was derived from the PBE geometry in Alexandria, using CuKα.
No peak broadening, texture or thermal motion is included.

Most intense lines, 2θ = 15–90°, in order of rising 2θ:
2θ/deg, I (rel.)
31.1, 38.2
33.0, 100.0
36.1, 77.1
36.9, 47.9
44.2, 19.8
62.1, 24.5
63.7, 28.8
64.1, 18.6

Structural model:
a = 3.625 Å, b = 20.502 Å, c = 3.466 Å
α = 90.00°, β = 90.00°, γ = 90.00°
Atoms (fractional coordinates):
Tb: 0.000 0.093 0.000
Tb: 0.000 0.907 0.000
Tb: 0.500 0.407 0.000
Tb: 0.500 0.593 0.000
Cd: 0.000 0.305 0.500
Cd: 0.000 0.695 0.500
Cd: 0.500 0.195 0.500
Cd: 0.500 0.805 0.500
Ag: 0.000 0.500 0.500
Ag: 0.500 0.000 0.500

---

The following is a simulated X-ray powder pattern of LaTmZn2In2. It was derived from the PBE geometry in Alexandria, using CuKα.
No peak broadening, texture or thermal motion is included.

Most intense lines, 2θ = 15–90°, in order of rising 2θ:
2θ/deg, I (rel.)
32.3, 100.0
38.3, 64.0
48.2, 7.7
50.9, 27.5
63.1, 20.3
65.4, 25.6
69.2, 10.8
88.7, 8.2

Structural model:
a = 4.705 Å, b = 4.705 Å, c = 7.557 Å
α = 90.00°, β = 90.00°, γ = 120.00°
Atoms (fractional coordinates):
La: 0.000 0.000 0.000
Tm: 0.000 0.000 0.500
Zn: 0.333 0.667 0.294
Zn: 0.667 0.333 0.706
In: 0.333 0.667 0.729
In: 0.667 0.333 0.271